Structure and calculated X-ray diffraction stick pattern of Ho2TeO2 (a structure optimized by DFT (GGA-PBE); λ = 1.5418 Å (Cu Kα)).
Intensities are scaled so that the largest is 100.

```
data_Ho2TeO2
_cell_length_a 3.9193
_cell_length_b 3.9193
_cell_length_c 12.4827
_cell_angle_alpha 90.00
_cell_angle_beta 90.00
_cell_angle_gamma 90.00
_symmetry_space_group_name_H-M 'I 4/m m m'
_symmetry_Int_Tables_number 139
_symmetry_space_group_name_Hall '-I 4 2'
loop_
_atom_site_label
_atom_site_type_symbol
_atom_site_fract_x
_atom_site_fract_y
_atom_site_fract_z
Ho1 Ho 0.0000 0.0000 0.1634
Te1 Te 0.0000 0.0000 0.5000
O1 O 0.0000 0.5000 0.2500
```

Most intense lines, 10° ≤ 2θ ≤ 90°, in order of rising 2θ:
- 31.35 deg, rel. 100, (1 0 3)
- 32.30 deg, rel. 40, (1 1 0)
- 43.50 deg, rel. 9, (0 0 6)
- 46.33 deg, rel. 19, (2 0 0)
- 55.21 deg, rel. 23, (1 1 6)
- 57.01 deg, rel. 37, (2 1 3)
- 65.43 deg, rel. 11, (2 0 6)
- 72.26 deg, rel. 9, (1 0 9)
- 76.41 deg, rel. 8, (3 0 3)
- 76.93 deg, rel. 7, (3 1 0)



Structure and calculated X-ray diffraction stick pattern of Ho2TeO2 (a structure optimized by DFT (GGA-PBE); λ = 1.5418 Å (Cu Kα)).
Intensities are scaled so that the largest is 100.

```
data_Ho2TeO2
_cell_length_a 3.8947
_cell_length_b 3.8947
_cell_length_c 7.2066
_cell_angle_alpha 90.00
_cell_angle_beta 90.00
_cell_angle_gamma 120.00
_symmetry_space_group_name_H-M 'P -3 m 1'
_symmetry_Int_Tables_number 164
_symmetry_space_group_name_Hall '-P 3 2"'
loop_
_atom_site_label
_atom_site_type_symbol
_atom_site_fract_x
_atom_site_fract_y
_atom_site_fract_z
Ho1 Ho 0.3333 0.6667 0.3055
Te1 Te 0.0000 0.0000 0.0000
O1 O 0.3333 0.6667 0.6195
```

Most intense lines, 10° ≤ 2θ ≤ 90°, in order of rising 2θ:
- 29.23 deg, rel. 100, (0 1 1)
- 36.49 deg, rel. 49, (1 0 2)
- 37.44 deg, rel. 16, (0 0 3)
- 46.64 deg, rel. 33, (1 1 0)
- 56.00 deg, rel. 16, (2 0 1)
- 58.04 deg, rel. 14, (0 1 4)
- 60.63 deg, rel. 11, (0 2 2)
- 61.28 deg, rel. 23, (1 1 3)
- 75.77 deg, rel. 13, (1 2 1)
- 79.80 deg, rel. 11, (2 1 2)



Structure and calculated X-ray diffraction stick pattern of Ho2Te5O13 (a structure optimized by DFT (GGA-PBE); λ = 1.5418 Å (Cu Kα)).
Intensities are scaled so that the largest is 100.

```
data_Ho2Te5O13
_cell_length_a 7.0129
_cell_length_b 8.7738
_cell_length_c 10.7871
_cell_angle_alpha 89.30
_cell_angle_beta 87.36
_cell_angle_gamma 75.01
_symmetry_space_group_name_H-M 'P -1'
_symmetry_Int_Tables_number 2
_symmetry_space_group_name_Hall '-P 1'
loop_
_atom_site_label
_atom_site_type_symbol
_atom_site_fract_x
_atom_site_fract_y
_atom_site_fract_z
Ho1 Ho 0.9997 0.2382 0.2390
Ho2 Ho 0.4468 0.9720 0.8213
Te1 Te 0.1224 0.8514 0.1070
Te2 Te 0.1547 0.3033 0.6446
Te3 Te 0.2720 0.8945 0.4892
Te4 Te 0.2912 0.3748 0.9776
Te5 Te 0.4407 0.3999 0.3008
O1 O 0.0434 0.8505 0.5673
O2 O 0.0595 0.3174 0.0394
O3 O 0.0660 0.5166 0.6928
O4 O 0.0673 0.7654 0.2753
O5 O 0.1244 0.9897 0.8948
O6 O 0.2357 0.9962 0.1869
O7 O 0.3144 0.2350 0.2852
O8 O 0.3265 0.7287 0.7770
O9 O 0.3286 0.2397 0.7764
O10 O 0.3371 0.0142 0.6195
O11 O 0.3506 0.4812 0.1251
O12 O 0.4600 0.6949 0.5214
O13 O 0.4673 0.1694 0.0001
```

Most intense lines, 10° ≤ 2θ ≤ 90°, in order of rising 2θ:
- 10.44 deg, rel. 12, (0 1 0)
- 26.97 deg, rel. 100, (0 1 -3)
- 27.39 deg, rel. 59, (2 1 -1)
- 27.57 deg, rel. 47, (1 -2 0)
- 30.57 deg, rel. 34, (2 0 2)
- 31.75 deg, rel. 26, (-1 1 3)
- 32.27 deg, rel. 24, (1 3 -1)
- 44.93 deg, rel. 14, (3 3 1)
- 45.32 deg, rel. 14, (-3 1 1)
- 54.38 deg, rel. 15, (1 4 -4)



Number 1 is which compound?
Ho2TeO2